1.
Theoretical powder X-ray diffraction pattern
Compound: Li6AcHg4
Radiation: a wavelength of 1.5418 Å
Structure: the GGA-PBE geometry in Alexandria
Lines closer than 0.1° are merged.

Cell and atoms:
```
data_Li6AcHg4
_cell_length_a 8.0748
_cell_length_b 8.0748
_cell_length_c 4.2163
_cell_angle_alpha 90.00
_cell_angle_beta 90.00
_cell_angle_gamma 120.00
_symmetry_space_group_name_H-M 'P -6 m 2'
_symmetry_Int_Tables_number 187
_symmetry_space_group_name_Hall 'P -6 2'
loop_
_atom_site_label
_atom_site_fract_x
_atom_site_fract_y
_atom_site_fract_z
_atom_site_occupancy
Li1 0.1999 0.3999 0.0000 1
Li2 0.2514 0.1257 0.5000 1
Ac1 0.6667 0.3333 0.0000 1
Hg1 0.0000 0.0000 0.0000 1
Hg2 0.0585 0.5292 0.5000 1
```

Main lines, by intensity (2θ from 10° to 90°):
24.7 deg, I = 100, hkl 1 0 1; 30.7 deg, I = 97, hkl 1 1 1; 25.5 deg, I = 96, hkl 2 0 0; 44.4 deg, I = 68, hkl 3 0 1; 33.3 deg, I = 59, hkl 2 0 1; 33.9 deg, I = 50, hkl 2 1 0; 61.9 deg, I = 40, hkl 3 2 1; 44.9 deg, I = 38, hkl 2 2 0; 50.6 deg, I = 31, hkl 2 0 2; 63.8 deg, I = 26, hkl 2 2 2; 22.0 deg, I = 26, hkl 1 1 0; 55.8 deg, I = 25, hkl 2 1 2

2.
Theoretical powder X-ray diffraction pattern
Compound: Li2BiP2O8
Radiation: a wavelength of 1.5418 Å
Structure: the GGA-PBE geometry in Alexandria
Lines closer than 0.1° are merged.

Cell and atoms:
```
data_Li2BiP2O8
_cell_length_a 8.5932
_cell_length_b 8.5932
_cell_length_c 7.9024
_cell_angle_alpha 90.00
_cell_angle_beta 90.00
_cell_angle_gamma 120.00
_symmetry_space_group_name_H-M 'P 3'
_symmetry_Int_Tables_number 143
loop_
_symmetry_equiv_pos_as_xyz
'x,y,z'
'-y,x-y,z'
'-x+y,-x,z'
loop_
_atom_site_label
_atom_site_fract_x
_atom_site_fract_y
_atom_site_fract_z
_atom_site_occupancy
Li1 0.0000 0.0000 0.0000 1
Li2 0.0000 0.3574 0.8691 1
Li3 0.3333 0.6667 0.1264 1
Li4 0.6667 0.3333 0.0459 1
Bi1 0.0000 0.0000 0.4369 1
Bi2 0.3333 0.6667 0.5080 1
Bi3 0.6667 0.3333 0.5651 1
P1 0.0192 0.7122 0.7438 1
P2 0.3660 0.0186 0.2559 1
O1 0.0692 0.8178 0.5689 1
O2 0.0887 0.8447 0.8901 1
O3 0.1098 0.5949 0.7298 1
O4 0.1877 0.4629 0.2701 1
O5 0.2176 0.0765 0.2579 1
O6 0.4181 0.2290 0.7552 1
O7 0.4670 0.0921 0.0898 1
O8 0.4891 0.0901 0.4149 1
```

Main lines, by intensity (2θ from 10° to 90°):
23.6 deg, I = 100, hkl 1 1 1; 11.2 deg, I = 79, hkl 0 0 1; 30.7 deg, I = 46, hkl 1 1 2; 20.7 deg, I = 42, hkl 1 1 0; 38.0 deg, I = 28, hkl 0 3 1; 36.2 deg, I = 26, hkl 3 0 0; 56.7 deg, I = 20, hkl 4 1 0; 42.0 deg, I = 20, hkl 2 2 0; 43.7 deg, I = 18, hkl 4 -2 1; 58.0 deg, I = 16, hkl 4 1 1; 25.5 deg, I = 16, hkl 0 1 2; 47.3 deg, I = 14, hkl 3 -2 3

3.
Theoretical powder X-ray diffraction pattern
Compound: Pm2Sm3Ho6Pu
Radiation: a wavelength of 1.5418 Å
Structure: the GGA-PBE geometry in Alexandria
Lines closer than 0.1° are merged.

Cell and atoms:
```
data_Pm2Sm3Ho6Pu
_cell_length_a 6.1753
_cell_length_b 10.7031
_cell_length_c 11.7152
_cell_angle_alpha 90.00
_cell_angle_beta 100.15
_cell_angle_gamma 90.00
_symmetry_space_group_name_H-M 'C 1 2/m 1'
_symmetry_Int_Tables_number 12
loop_
_symmetry_equiv_pos_as_xyz
'x,y,z'
'-x,-y,-z'
'-x,y,-z'
'x,-y,z'
'x+1/2,y+1/2,z'
'-x+1/2,-y+1/2,-z'
'-x+1/2,y+1/2,-z'
'x+1/2,-y+1/2,z'
loop_
_atom_site_label
_atom_site_fract_x
_atom_site_fract_y
_atom_site_fract_z
_atom_site_occupancy
Pm1 0.0000 0.1666 0.0000 1
Sm1 0.0000 0.0000 0.5000 1
Sm2 0.0000 0.3330 0.5000 1
Ho1 0.2464 0.5000 0.7520 1
Ho2 0.2469 0.3356 0.2479 1
Pu1 0.0000 0.5000 0.0000 1
```

Main lines, by intensity (2θ from 10° to 90°):
30.7 deg, I = 100, hkl 1 3 1; 35.7 deg, I = 67, hkl 2 0 2; 31.0 deg, I = 32, hkl 0 0 4; 61.1 deg, I = 28, hkl 3 3 3; 51.2 deg, I = 24, hkl 0 6 0; 51.6 deg, I = 24, hkl 1 3 5; 60.9 deg, I = 14, hkl 4 0 0; 61.4 deg, I = 14, hkl 2 0 6; 64.0 deg, I = 12, hkl 2 6 2; 83.6 deg, I = 12, hkl 4 6 0; 86.3 deg, I = 11, hkl 5 3 1; 75.7 deg, I = 8, hkl 4 0 4

4.
Theoretical powder X-ray diffraction pattern
Compound: NbNiIr
Radiation: a wavelength of 1.5418 Å
Structure: the GGA-PBE geometry in Alexandria
Lines closer than 0.1° are merged.

Cell and atoms:
```
data_NbNiIr
_cell_length_a 4.7396
_cell_length_b 8.2943
_cell_length_c 4.8316
_cell_angle_alpha 90.00
_cell_angle_beta 112.28
_cell_angle_gamma 90.00
_symmetry_space_group_name_H-M 'C 1 2/c 1'
_symmetry_Int_Tables_number 15
loop_
_symmetry_equiv_pos_as_xyz
'x,y,z'
'-x,-y,-z'
'-x,y,-z+1/2'
'x,-y,z+1/2'
'x+1/2,y+1/2,z'
'-x+1/2,-y+1/2,-z'
'-x+1/2,y+1/2,-z+1/2'
'x+1/2,-y+1/2,z+1/2'
loop_
_atom_site_label
_atom_site_fract_x
_atom_site_fract_y
_atom_site_fract_z
_atom_site_occupancy
Nb1 0.0000 0.1098 0.2500 1
Ni1 0.0000 0.2419 0.7500 1
Ir1 0.0000 0.4265 0.2500 1
```

Main lines, by intensity (2θ from 10° to 90°):
39.7 deg, I = 100, hkl 1 3 -1; 47.4 deg, I = 60, hkl 1 3 1; 40.3 deg, I = 52, hkl 0 0 2; 41.2 deg, I = 49, hkl 2 0 0; 45.7 deg, I = 37, hkl 2 0 -2; 22.9 deg, I = 30, hkl 1 1 0; 67.3 deg, I = 21, hkl 1 3 -3; 68.5 deg, I = 20, hkl 3 3 -1; 24.8 deg, I = 19, hkl 1 1 -1; 81.9 deg, I = 16, hkl 4 0 -2; 84.8 deg, I = 15, hkl 3 3 1; 80.4 deg, I = 13, hkl 3 3 -3